Record 1
The following is a theoretical X-ray powder pattern of Cu3Au2. It was derived from a cell relaxed with PBE, using Cu Kα (λ = 1.5418 Å).
Kinematic intensities with the Lorentz-polarization factor, no thermal factor.

Largest 10 diffraction maxima, low angle first, 2θ = 10–90°:
| d/Å | two_theta | I_rel | index |
| --- | --- | --- | --- |
| 4.563 | 19.45 | 18 | 0 0 4 |
| 2.785 | 32.14 | 23 | 1 0 1 |
| 2.231 | 40.44 | 100 | 1 0 5 |
| 1.993 | 45.52 | 36 | 1 1 0 |
| 1.825 | 49.96 | 19 | 0 0 10 |
| 1.409 | 66.34 | 12 | 2 0 0 |
| 1.346 | 69.89 | 21 | 1 1 10 |
| 1.191 | 80.66 | 26 | 2 1 5 |
| 1.117 | 87.28 | 9 | 1 0 15 |
| 1.115 | 87.46 | 10 | 2 0 10 |

Cell lengths 2.818, 2.818, 18.251 Å; angles 90.00, 90.00, 90.00 degrees
Space group I4/mmm (No. 139)
Unique sites:
Cu (0.000, 0.000, 0.000) (multiplicity 2)
Cu (0.000, 0.000, 0.207) (multiplicity 4)
Au (0.000, 0.000, 0.397) (multiplicity 4)



Record 2
The following is a theoretical X-ray powder pattern of NaCaAlPHO5F2. It was derived from a cell relaxed with PBE, using Cu Kα (λ = 1.5418 Å).
Kinematic intensities with the Lorentz-polarization factor, no thermal factor.

Largest 10 diffraction maxima, low angle first, 2θ = 10–90°:
| d/Å | two_theta | I_rel | index |
| --- | --- | --- | --- |
| 4.921 | 18.03 | 35 | 1 0 -1 |
| 3.323 | 26.83 | 35 | 0 0 2 |
| 3.006 | 29.72 | 37 | 1 1 -2 |
| 2.934 | 30.47 | 100 | 1 2 -1 |
| 2.663 | 33.66 | 27 | 2 0 0 |
| 2.583 | 34.73 | 22 | 1 2 1 |
| 2.208 | 40.87 | 34 | 2 2 -1 |
| 1.948 | 46.63 | 25 | 1 2 -3 |
| 1.824 | 50.00 | 31 | 0 4 0 |
| 1.501 | 61.81 | 24 | 2 2 -4 |

Cell lengths 5.579, 7.296, 6.963 Å; angles 90.00, 107.33, 90.00 degrees
Space group P2_1/m (No. 11)
Unique sites:
Na (0.016, 0.250, 0.018) (multiplicity 2)
Ca (0.000, 0.000, 0.500) (multiplicity 2)
Al (0.500, 0.000, 0.000) (multiplicity 2)
P (0.459, 0.750, 0.361) (multiplicity 2)
H (0.479, 0.750, 0.770) (multiplicity 2)
O (0.264, 0.250, 0.504) (multiplicity 2)
O (0.273, 0.750, 0.489) (multiplicity 2)
O (0.405, 0.577, 0.224) (multiplicity 4)
O (0.466, 0.250, 0.081) (multiplicity 2)
F (0.160, 0.502, 0.847) (multiplicity 4)



Record 3
The following is a theoretical X-ray powder pattern of La12Pr2Tm5. It was derived from a cell relaxed with PBE, using Cu Kα (λ = 1.5418 Å).
Kinematic intensities with the Lorentz-polarization factor, no thermal factor.

Largest 10 diffraction maxima, low angle first, 2θ = 10–90°:
| d/Å | two_theta | I_rel | index |
| --- | --- | --- | --- |
| 3.373 | 26.42 | 16 | 1 1 2 |
| 2.962 | 30.17 | 40 | 0 4 0 |
| 2.955 | 30.25 | 21 | 3 1 -3 |
| 2.888 | 30.97 | 100 | 4 2 -1 |
| 2.800 | 31.96 | 39 | 2 2 -3 |
| 2.627 | 34.13 | 17 | 1 3 2 |
| 2.067 | 43.81 | 15 | 2 4 2 |
| 1.696 | 54.07 | 15 | 4 6 -1 |
| 1.684 | 54.47 | 9 | 6 2 1 |
| 1.633 | 56.33 | 9 | 6 4 -4 |

Cell lengths 13.330, 11.850, 9.534 Å; angles 90.00, 117.12, 90.00 degrees
Space group C2/m (No. 12)
Unique sites:
La (0.064, 0.000, 0.270) (multiplicity 4)
La (0.099, 0.500, 0.421) (multiplicity 4)
La (0.105, 0.242, 0.908) (multiplicity 8)
La (0.213, 0.239, 0.311) (multiplicity 8)
Pr (0.000, 0.212, 0.500) (multiplicity 4)
Tm (0.000, 0.500, 0.000) (multiplicity 2)
Tm (0.198, 0.000, 0.736) (multiplicity 4)
Tm (0.217, 0.500, 0.862) (multiplicity 4)



Record 4
The following is a theoretical X-ray powder pattern of HoBiTe3. It was derived from a cell relaxed with PBE, using Cu Kα (λ = 1.5418 Å).
Kinematic intensities with the Lorentz-polarization factor, no thermal factor.

Largest 10 diffraction maxima, low angle first, 2θ = 10–90°:
| d/Å | two_theta | I_rel | index |
| --- | --- | --- | --- |
| 5.319 | 16.67 | 12 | 0 0 6 |
| 3.269 | 27.28 | 100 | 0 1 5 |
| 2.445 | 36.75 | 34 | 1 0 10 |
| 2.197 | 41.08 | 37 | 1 1 0 |
| 2.063 | 43.89 | 9 | 1 0 13 |
| 1.823 | 50.02 | 19 | 2 0 5 |
| 1.634 | 56.29 | 10 | 0 2 10 |
| 1.528 | 60.58 | 10 | 1 1 15 |
| 1.403 | 66.66 | 16 | 1 2 5 |
| 1.311 | 72.02 | 10 | 2 1 10 |

Cell lengths 4.3940, 4.3940, 31.9133 Å; angles 90.00, 90.00, 120.00 degrees
Space group R3m (No. 160, hexagonal axes)
Unique sites:
Ho (0.0000, 0.0000, 0.0000) (multiplicity 3)
Bi (0.0000, 0.0000, 0.2045) (multiplicity 3)
Te (0.0000, 0.0000, 0.3836) (multiplicity 3)
Te (0.0000, 0.0000, 0.6064) (multiplicity 3)
Te (0.0000, 0.0000, 0.8177) (multiplicity 3)



Record 5
The following is a theoretical X-ray powder pattern of Pm5CuNi2. It was derived from a cell relaxed with PBE, using Cu Kα (λ = 1.5418 Å).
Kinematic intensities with the Lorentz-polarization factor, no thermal factor.

Largest 10 diffraction maxima, low angle first, 2θ = 10–90°:
| d/Å | two_theta | I_rel | index |
| --- | --- | --- | --- |
| 3.382 | 26.35 | 29 | 2 1 1 |
| 2.793 | 32.04 | 20 | 1 1 4 |
| 2.770 | 32.32 | 14 | 2 2 0 |
| 2.720 | 32.94 | 100 | 2 1 3 |
| 2.494 | 36.01 | 40 | 2 0 4 |
| 2.478 | 36.26 | 56 | 3 1 0 |
| 1.739 | 52.63 | 15 | 4 1 3 |
| 1.604 | 57.46 | 22 | 3 3 4 |
| 1.379 | 68.00 | 13 | 5 2 3 |
| 1.354 | 69.40 | 13 | 3 1 8 |

Cell lengths 7.835, 7.835, 12.938 Å; angles 90.00, 90.00, 90.00 degrees
Space group I4/mcm (No. 140)
Unique sites:
Pm (0.000, 0.000, 0.000) (multiplicity 4)
Pm (0.164, 0.336, 0.140) (multiplicity 16)
Cu (0.000, 0.000, 0.250) (multiplicity 4)
Ni (0.120, 0.380, 0.500) (multiplicity 8)



Record 6
The following is a theoretical X-ray powder pattern of MnFe5Ni6. It was derived from a cell relaxed with PBE, using Cu Kα (λ = 1.5418 Å).
Kinematic intensities with the Lorentz-polarization factor, no thermal factor.

Largest 7 diffraction maxima, low angle first, 2θ = 10–90°:
| d/Å | two_theta | I_rel | index |
| --- | --- | --- | --- |
| 2.065 | 43.84 | 100 | 1 3 2 |
| 1.799 | 50.76 | 16 | 2 0 0 |
| 1.789 | 51.04 | 15 | 0 6 0 |
| 1.778 | 51.40 | 15 | 0 0 4 |
| 1.269 | 74.85 | 9 | 2 6 0 |
| 1.264 | 75.14 | 9 | 2 0 4 |
| 1.261 | 75.36 | 9 | 0 6 4 |

Cell lengths 3.597, 10.737, 7.111 Å; angles 90.00, 90.00, 90.00 degrees
Space group Cmmm (No. 65)
Unique sites:
Mn (0.000, 0.000, 0.000) (multiplicity 2)
Fe (0.000, 0.000, 0.500) (multiplicity 2)
Fe (0.000, 0.328, 0.000) (multiplicity 4)
Fe (0.000, 0.334, 0.500) (multiplicity 4)
Ni (0.000, 0.167, 0.253) (multiplicity 8)
Ni (0.000, 0.500, 0.250) (multiplicity 4)